# 1
# SmGeH2O4
Computed powder X-ray diffraction pattern, Cu Ka. Input: a DFT-relaxed cell (GGA-PBE, OQMD).

Structure:
Lattice parameters (Å, degrees): 10.174 10.314 6.875 90.00 90.00 90.00
Space group Fdd2 (No. 43)
Symmetry-distinct sites (fractional):
Sm 0.000 0.000 0.000 x8
Ge 0.000 0.000 0.469 x8
H 0.045 0.262 0.889 x16
O 0.057 0.123 0.292 x16
O 0.116 0.199 0.929 x16

Top 12 peaks for 2θ = 10–80°, low angle first:
| index | d_spacing | 2theta | I/Imax |
| --- | --- | --- | --- |
| 1 1 1 | 4.987 | 17.8 | 25 |
| 2 2 0 | 3.622 | 24.6 | 100 |
| 0 2 2 | 2.860 | 31.3 | 45 |
| 2 0 2 | 2.848 | 31.4 | 47 |
| 0 4 0 | 2.579 | 34.8 | 18 |
| 4 0 0 | 2.544 | 35.3 | 16 |
| 2 4 2 | 1.912 | 47.6 | 40 |
| 4 2 2 | 1.901 | 47.9 | 39 |
| 4 4 0 | 1.811 | 50.4 | 13 |
| 2 6 0 | 1.629 | 56.5 | 10 |
| 6 2 0 | 1.611 | 57.2 | 11 |
| 2 2 4 | 1.553 | 59.5 | 16 |

---

# 2
# SmGeH2O4
Computed powder X-ray diffraction pattern, Cu Ka. Input: a DFT-relaxed cell (GGA-PBE, OQMD).

Structure:
Lattice parameters (Å, degrees): 4.997 6.290 6.096 90.00 103.13 90.00
Space group P2_1/m (No. 11)
Symmetry-distinct sites (fractional):
Sm 0.053 0.250 0.183 x2
Ge 0.307 0.250 0.717 x2
H 0.329 0.750 0.503 x2
H 0.500 0.000 0.000 x2
O 0.028 0.750 0.462 x2
O 0.257 0.026 0.934 x4
O 0.459 0.250 0.448 x2

Top 12 peaks for 2θ = 10–80°, low angle first:
| index | d_spacing | 2theta | I/Imax |
| --- | --- | --- | --- |
| 1 0 0 | 4.866 | 18.2 | 68 |
| 1 1 0 | 3.849 | 23.1 | 100 |
| 1 1 -1 | 3.532 | 25.2 | 93 |
| 0 2 0 | 3.145 | 28.4 | 98 |
| 1 1 1 | 2.993 | 29.8 | 82 |
| 0 1 2 | 2.684 | 33.4 | 45 |
| 1 2 0 | 2.642 | 33.9 | 33 |
| 1 1 -2 | 2.586 | 34.7 | 95 |
| 0 2 2 | 2.159 | 41.8 | 35 |
| 2 1 1 | 1.984 | 45.7 | 52 |
| 2 2 -1 | 1.936 | 46.9 | 34 |
| 1 3 -2 | 1.686 | 54.4 | 32 |

---

- What is the formula in the second record?
  SmGeH2O4